1.
Calculated powder X-ray diffraction pattern
Compound: BaMnZnGe2
Radiation: Cu Kα X-rays
Structure: a DFT-relaxed cell (PBE, Alexandria)
Kinematic intensities with the Lorentz-polarization factor, no thermal factor.

The 10 most intense peaks (2θ = 10–90°), by angle:
2θ 26.37, d 3.380, I 27.0; 2θ 32.73, d 2.736, I 100.0; 2θ 36.64, d 2.453, I 34.9; 2θ 38.62, d 2.331, I 60.1; 2θ 54.29, d 1.690, I 43.4; 2θ 55.76, d 1.648, I 20.0; 2θ 63.50, d 1.465, I 14.6; 2θ 66.18, d 1.412, I 25.8; 2θ 68.59, d 1.368, I 21.1; 2θ 89.50, d 1.095, I 11.8

Cell and atoms:
```
data_BaMnZnGe2
_cell_length_a 4.663
_cell_length_b 4.663
_cell_length_c 4.906
_cell_angle_alpha 90.00
_cell_angle_beta 90.00
_cell_angle_gamma 90.00
_space_group_name_H-M_alt 'P 1'
_space_group_IT_number 1
loop_
_space_group_symop_operation_xyz
'x,y,z'
loop_
_atom_site_label
_atom_site_type_symbol
_atom_site_fract_x
_atom_site_fract_y
_atom_site_fract_z
Ba1 Ba 0.000 0.000 0.000
Mn1 Mn 0.500 0.500 0.500
Zn1 Zn 0.500 0.500 0.000
Ge1 Ge 0.000 0.500 0.500
Ge2 Ge 0.500 0.000 0.500
```

=====

2.
Calculated powder X-ray diffraction pattern
Compound: Np4Co3As8
Radiation: Cu Kα X-rays
Structure: a DFT-relaxed cell (PBE, Alexandria)
Kinematic intensities with the Lorentz-polarization factor, no thermal factor.

The 10 most intense peaks (2θ = 10–90°), by angle:
2θ 24.55, d 3.627, I 64.6; 2θ 31.93, d 2.803, I 20.0; 2θ 37.64, d 2.390, I 48.2; 2θ 37.83, d 2.378, I 100.0; 2θ 45.78, d 1.982, I 41.2; 2θ 52.63, d 1.739, I 17.6; 2θ 56.19, d 1.637, I 17.4; 2θ 60.71, d 1.526, I 24.6; 2θ 75.30, d 1.262, I 15.0; 2θ 79.36, d 1.207, I 23.5

Cell and atoms:
```
data_Np4Co3As8
_cell_length_a 3.964
_cell_length_b 3.964
_cell_length_c 17.973
_cell_angle_alpha 90.00
_cell_angle_beta 90.00
_cell_angle_gamma 90.00
_space_group_name_H-M_alt 'P 1'
_space_group_IT_number 1
loop_
_space_group_symop_operation_xyz
'x,y,z'
loop_
_atom_site_label
_atom_site_type_symbol
_atom_site_fract_x
_atom_site_fract_y
_atom_site_fract_z
Np1 Np 0.000 0.500 0.113
Np2 Np 0.000 0.500 0.632
Np3 Np 0.500 0.000 0.368
Np4 Np 0.500 0.000 0.887
Co1 Co 0.000 0.000 0.000
Co2 Co 0.000 0.000 0.500
Co3 Co 0.500 0.500 0.500
As1 As 0.000 0.000 0.241
As2 As 0.000 0.000 0.759
As3 As 0.000 0.500 0.426
As4 As 0.000 0.500 0.931
As5 As 0.500 0.000 0.069
As6 As 0.500 0.000 0.574
As7 As 0.500 0.500 0.242
As8 As 0.500 0.500 0.758
```